Structure and calculated powder X-ray diffraction pattern of Al2NiO4 (a cell relaxed with GGA+U; Cu Ka).

a = 5.751 Å, b = 5.751 Å, c = 18.923 Å
α = 98.51°, β = 98.51°, γ = 60.26°
Fractional positions:
Al: 0.000 0.000 0.000
Al: 0.218 0.722 0.659
Al: 0.227 0.727 0.158
Al: 0.246 0.246 0.750
Al: 0.455 0.455 0.315
Al: 0.474 0.973 0.908
Al: 0.477 0.981 0.407
Al: 0.501 0.501 0.504
Al: 0.701 0.701 0.067
Al: 0.722 0.218 0.659
Al: 0.727 0.227 0.158
Al: 0.754 0.754 0.250
Al: 0.849 0.849 0.537
Al: 0.947 0.947 0.818
Al: 0.973 0.474 0.908
Al: 0.981 0.477 0.407
Ni: 0.105 0.105 0.283
Ni: 0.192 0.192 0.565
Ni: 0.227 0.227 0.158
Ni: 0.350 0.350 0.033
Ni: 0.473 0.473 0.909
Ni: 0.596 0.596 0.783
Ni: 0.722 0.722 0.659
Ni: 0.980 0.980 0.408
O: 0.017 0.017 0.601
O: 0.031 0.572 0.597
O: 0.032 0.032 0.099
O: 0.049 0.554 0.100
O: 0.143 0.665 0.472
O: 0.147 0.652 0.967
O: 0.163 0.163 0.967
O: 0.175 0.175 0.459
O: 0.278 0.278 0.849
O: 0.296 0.296 0.350
O: 0.296 0.799 0.851
O: 0.308 0.799 0.349
O: 0.393 0.898 0.717
O: 0.406 0.901 0.217
O: 0.407 0.407 0.715
O: 0.422 0.422 0.217
O: 0.527 0.527 0.600
O: 0.539 0.539 0.101
O: 0.554 0.049 0.100
O: 0.572 0.031 0.597
O: 0.652 0.147 0.967
O: 0.665 0.143 0.472
O: 0.669 0.669 0.969
O: 0.672 0.672 0.471
O: 0.784 0.784 0.349
O: 0.784 0.784 0.851
O: 0.799 0.296 0.851
O: 0.799 0.308 0.349
O: 0.898 0.393 0.717
O: 0.901 0.406 0.217
O: 0.915 0.915 0.721
O: 0.917 0.917 0.217

Largest 10 diffraction maxima, by angle, 10 to 90 degrees two-theta:
- 18.86 deg, I = 517
- 30.98 deg, I = 237
- 31.17 deg, I = 225
- 36.63 deg, I = 800
- 36.83 deg, I = 1000
- 44.64 deg, I = 782
- 58.92 deg, I = 221
- 59.05 deg, I = 258
- 64.85 deg, I = 333
- 65.08 deg, I = 345